This entry pairs a crystal structure of ErCuPd4 with its calculated powder diffractogram. Radiation: CuKα. Structure: DFT lattice parameters and positions (GGA-PBE).
Neutral-atom scattering factors, no anomalous dispersion.

Principal peaks in the range 10° ≤ 2θ ≤ 80°, most intense first:
- 2θ = 40.1°, 2.249 Å, I 1000
- 2θ = 39.5°, 2.280 Å, I 478
- 2θ = 38.0°, 2.366 Å, I 360
- 2θ = 39.7°, 2.271 Å, I 349
- 2θ = 40.9°, 2.205 Å, I 274
- 2θ = 34.0°, 2.635 Å, I 155
- 2θ = 39.2°, 2.300 Å, I 143
- 2θ = 72.1°, 1.311 Å, I 143
- 2θ = 47.9°, 1.900 Å, I 120
- 2θ = 55.0°, 1.668 Å, I 114
- 2θ = 73.4°, 1.290 Å, I 103
- 2θ = 71.6°, 1.318 Å, I 101

Atomic structure:
```
ErCuPd4
1.0
5.5749 0.0000 0.0000
0.0000 7.7550 0.0000
-2.3405 0.0000 4.6009
Er Cu Pd
2 2 8
direct
0.0000 0.0000 0.0000
0.0000 0.5000 0.5000
0.5000 0.0000 0.5000
0.5000 0.5000 0.0000
0.1380 0.1554 0.5887
0.1380 0.3446 0.0887
0.3915 0.6706 0.3776
0.3915 0.8294 0.8776
0.6085 0.1706 0.1224
0.6085 0.3294 0.6224
0.8620 0.6554 0.9113
0.8620 0.8446 0.4113
```

***

This entry pairs a crystal structure of ErCuPdPt with its calculated powder diffractogram. Radiation: CuKα. Structure: DFT lattice parameters and positions (GGA-PBE).
Neutral-atom scattering factors, no anomalous dispersion.

Principal peaks in the range 10° ≤ 2θ ≤ 80°, most intense first:
- 2θ = 39.1°, 2.303 Å, I 1000
- 2θ = 70.9°, 1.330 Å, I 343
- 2θ = 56.5°, 1.629 Å, I 170
- 2θ = 23.7°, 3.761 Å, I 134
- 2θ = 46.2°, 1.964 Å, I 73
- 2θ = 62.1°, 1.494 Å, I 32
- 2θ = 75.9°, 1.254 Å, I 25
- 2θ = 27.4°, 3.257 Å, I 19
- 2θ = 63.9°, 1.457 Å, I 8
- 2θ = 48.4°, 1.880 Å, I 6

Atomic structure:
```
ErCuPdPt
1.0
0.0000 3.2571 3.2571
3.2571 0.0000 3.2571
3.2571 3.2571 0.0000
Er Cu Pd Pt
1 1 1 1
direct
0.0000 0.0000 0.0000
0.5000 0.5000 0.5000
0.2500 0.2500 0.2500
0.7500 0.7500 0.7500
```

***

This entry pairs a crystal structure of ErThCuPd with its calculated powder diffractogram. Radiation: CuKα. Structure: DFT lattice parameters and positions (GGA-PBE).
Neutral-atom scattering factors, no anomalous dispersion.

Principal peaks in the range 10° ≤ 2θ ≤ 80°, most intense first:
- 2θ = 32.1°, 2.790 Å, I 1000
- 2θ = 40.2°, 2.245 Å, I 493
- 2θ = 34.8°, 2.576 Å, I 351
- 2θ = 25.6°, 3.481 Å, I 314
- 2θ = 39.3°, 2.292 Å, I 312
- 2θ = 33.5°, 2.675 Å, I 289
- 2θ = 53.5°, 1.712 Å, I 210
- 2θ = 39.0°, 2.310 Å, I 198
- 2θ = 48.9°, 1.862 Å, I 167
- 2θ = 52.6°, 1.740 Å, I 163
- 2θ = 79.7°, 1.203 Å, I 152
- 2θ = 64.5°, 1.445 Å, I 145

Atomic structure:
```
ErThCuPd
1.0
4.5839 0.0000 0.0000
0.0000 1.8618 5.3500
0.0000 -1.8618 5.3500
Er Th Cu Pd
1 1 1 1
direct
0.0000 0.0000 0.0000
0.5000 0.2805 0.2805
0.0000 0.7194 0.7194
0.5000 0.5602 0.5602
```

***

This entry pairs a crystal structure of Pm5ErCu6 with its calculated powder diffractogram. Radiation: CuKα. Structure: DFT lattice parameters and positions (GGA-PBE).
Neutral-atom scattering factors, no anomalous dispersion.

Principal peaks in the range 10° ≤ 2θ ≤ 80°, most intense first:
- 2θ = 35.9°, 2.502 Å, I 1000
- 2θ = 35.7°, 2.515 Å, I 510
- 2θ = 64.3°, 1.450 Å, I 352
- 2θ = 25.0°, 3.557 Å, I 172
- 2θ = 64.6°, 1.442 Å, I 171
- 2θ = 76.1°, 1.251 Å, I 105
- 2θ = 51.3°, 1.780 Å, I 89
- 2θ = 51.4°, 1.777 Å, I 88
- 2θ = 25.3°, 3.520 Å, I 85
- 2θ = 52.0°, 1.760 Å, I 84
- 2θ = 44.3°, 2.046 Å, I 81
- 2θ = 75.6°, 1.258 Å, I 54

Atomic structure:
```
Pm5ErCu6
1.0
7.9474 -3.5200 0.0000
7.9474 3.5200 0.0000
-1.5825 0.0000 4.7753
Pm Er Cu
5 1 6
direct
0.0000 0.0000 0.0000
0.1661 0.1661 0.6661
0.3330 0.3330 0.3337
0.6670 0.6670 0.6663
0.8339 0.8339 0.3339
0.5000 0.5000 0.0000
0.0955 0.5800 0.8394
0.2648 0.7352 0.5000
0.4200 0.9045 0.1606
0.5800 0.0955 0.8394
0.7352 0.2648 0.5000
0.9045 0.4200 0.1606
```

***

This entry pairs a crystal structure of PmErCu with its calculated powder diffractogram. Radiation: CuKα. Structure: DFT lattice parameters and positions (GGA-PBE).
Neutral-atom scattering factors, no anomalous dispersion.

Principal peaks in the range 10° ≤ 2θ ≤ 80°, most intense first:
- 2θ = 33.5°, 2.677 Å, I 1000
- 2θ = 36.3°, 2.475 Å, I 513
- 2θ = 63.5°, 1.465 Å, I 309
- 2θ = 26.4°, 3.370 Å, I 276
- 2θ = 46.9°, 1.938 Å, I 182
- 2θ = 52.3°, 1.750 Å, I 179
- 2θ = 28.7°, 3.115 Å, I 172
- 2θ = 58.1°, 1.587 Å, I 122
- 2θ = 44.6°, 2.030 Å, I 118
- 2θ = 60.7°, 1.526 Å, I 86
- 2θ = 58.0°, 1.591 Å, I 84
- 2θ = 71.6°, 1.318 Å, I 81

Atomic structure:
```
PmErCu
1.0
-1.7503 1.7503 6.2293
1.7503 -1.7503 6.2293
1.7503 1.7503 -6.2293
Pm Er Cu
1 1 1
direct
0.0000 0.0000 0.0000
0.7218 0.7218 0.0000
0.3457 0.3457 0.0000
```

***

This entry pairs a crystal structure of PmEr3Cu2 with its calculated powder diffractogram. Radiation: CuKα. Structure: DFT lattice parameters and positions (GGA-PBE).
Neutral-atom scattering factors, no anomalous dispersion.

Principal peaks in the range 10° ≤ 2θ ≤ 80°, most intense first:
- 2θ = 34.1°, 2.632 Å, I 1000
- 2θ = 36.7°, 2.451 Å, I 680
- 2θ = 64.4°, 1.447 Å, I 311
- 2θ = 39.5°, 2.283 Å, I 281
- 2θ = 52.8°, 1.733 Å, I 281
- 2θ = 29.7°, 3.010 Å, I 269
- 2θ = 47.7°, 1.907 Å, I 202
- 2θ = 29.4°, 3.035 Å, I 186
- 2θ = 59.6°, 1.551 Å, I 160
- 2θ = 26.8°, 3.333 Å, I 138
- 2θ = 78.0°, 1.226 Å, I 128
- 2θ = 25.7°, 3.466 Å, I 121

Atomic structure:
```
PmEr3Cu2
1.0
3.4657 0.0000 0.0000
0.0000 3.4657 0.0000
0.0000 0.0000 12.1410
Pm Er Cu
1 3 2
direct
0.0000 0.0000 0.0000
0.5000 0.5000 0.2213
0.5000 0.5000 0.5000
0.5000 0.5000 0.7787
0.0000 0.0000 0.3586
0.0000 0.0000 0.6414
```

***

This entry pairs a crystal structure of PrEr2Cu9 with its calculated powder diffractogram. Radiation: CuKα. Structure: DFT lattice parameters and positions (GGA-PBE).
Neutral-atom scattering factors, no anomalous dispersion.

Principal peaks in the range 10° ≤ 2θ ≤ 80°, most intense first:
- 2θ = 40.9°, 2.206 Å, I 1000
- 2θ = 34.3°, 2.615 Å, I 481
- 2θ = 32.2°, 2.778 Å, I 407
- 2θ = 40.0°, 2.255 Å, I 347
- 2θ = 35.3°, 2.546 Å, I 237
- 2θ = 65.9°, 1.417 Å, I 232
- 2θ = 72.2°, 1.308 Å, I 209
- 2θ = 67.4°, 1.390 Å, I 167
- 2θ = 44.0°, 2.058 Å, I 143
- 2θ = 44.1°, 2.052 Å, I 138
- 2θ = 60.1°, 1.539 Å, I 138
- 2θ = 45.2°, 2.007 Å, I 126

Atomic structure:
```
PrEr2Cu9
1.0
2.6154 1.5100 8.2073
-2.6154 1.5100 8.2073
0.0000 -3.0199 8.2073
Pr Er Cu
1 2 9
direct
0.0000 0.0000 0.0000
0.1441 0.1441 0.1441
0.8559 0.8559 0.8559
0.0837 0.5832 0.5832
0.3323 0.3323 0.3323
0.4168 0.4168 0.9163
0.4168 0.9163 0.4168
0.5000 0.5000 0.5000
0.5832 0.0837 0.5832
0.5832 0.5832 0.0837
0.6677 0.6677 0.6677
0.9163 0.4168 0.4168
```

***

This entry pairs a crystal structure of PrErCu4 with its calculated powder diffractogram. Radiation: CuKα. Structure: DFT lattice parameters and positions (GGA-PBE).
Neutral-atom scattering factors, no anomalous dispersion.

Principal peaks in the range 10° ≤ 2θ ≤ 80°, most intense first:
- 2θ = 35.2°, 2.550 Å, I 1000
- 2θ = 42.1°, 2.145 Å, I 443
- 2θ = 35.3°, 2.542 Å, I 411
- 2θ = 34.4°, 2.609 Å, I 331
- 2θ = 41.8°, 2.159 Å, I 312
- 2θ = 55.9°, 1.646 Å, I 216
- 2θ = 23.8°, 3.732 Å, I 191
- 2θ = 68.2°, 1.374 Å, I 175
- 2θ = 58.3°, 1.582 Å, I 155
- 2θ = 40.6°, 2.221 Å, I 148
- 2θ = 72.1°, 1.310 Å, I 119
- 2θ = 38.7°, 2.329 Å, I 101

Atomic structure:
```
PrErCu4
1.0
-2.1594 3.4925 3.7062
2.1594 -3.4925 3.7062
2.1594 3.4925 -3.7062
Pr Er Cu
1 1 4
direct
0.0000 0.0000 0.0000
0.4183 0.9183 0.5000
0.4240 0.6185 0.8055
0.5861 0.2893 0.2967
0.8130 0.6185 0.1945
0.9926 0.2893 0.7033
```

***

This entry pairs a crystal structure of PrErCu4 with its calculated powder diffractogram. Radiation: CuKα. Structure: DFT lattice parameters and positions (GGA-PBE).
Neutral-atom scattering factors, no anomalous dispersion.

Principal peaks in the range 10° ≤ 2θ ≤ 80°, most intense first:
- 2θ = 39.8°, 2.266 Å, I 1000
- 2θ = 33.7°, 2.657 Å, I 584
- 2θ = 64.4°, 1.446 Å, I 310
- 2θ = 70.9°, 1.329 Å, I 230
- 2θ = 60.3°, 1.534 Å, I 220
- 2θ = 41.6°, 2.170 Å, I 177
- 2θ = 20.5°, 4.339 Å, I 92
- 2θ = 53.1°, 1.724 Å, I 24
- 2θ = 74.7°, 1.270 Å, I 21

Atomic structure:
```
PrErCu4
1.0
0.0000 3.7578 3.7578
3.7578 0.0000 3.7578
3.7578 3.7578 0.0000
Pr Er Cu
1 1 4
direct
0.0000 0.0000 0.0000
0.2500 0.2500 0.2500
0.1287 0.6238 0.6238
0.6238 0.1287 0.6238
0.6238 0.6238 0.1287
0.6238 0.6238 0.6238
```

***

This entry pairs a crystal structure of Er2CuPt4 with its calculated powder diffractogram. Radiation: CuKα. Structure: DFT lattice parameters and positions (GGA-PBE).
Neutral-atom scattering factors, no anomalous dispersion.

Principal peaks in the range 10° ≤ 2θ ≤ 80°, most intense first:
- 2θ = 38.5°, 2.338 Å, I 1000
- 2θ = 38.1°, 2.364 Å, I 756
- 2θ = 45.4°, 1.998 Å, I 464
- 2θ = 42.6°, 2.121 Å, I 377
- 2θ = 30.3°, 2.948 Å, I 370
- 2θ = 64.0°, 1.454 Å, I 339
- 2θ = 20.9°, 4.242 Å, I 226
- 2θ = 78.7°, 1.216 Å, I 208
- 2θ = 50.5°, 1.807 Å, I 194
- 2θ = 79.5°, 1.206 Å, I 186
- 2θ = 31.4°, 2.848 Å, I 180
- 2θ = 75.3°, 1.263 Å, I 156

Atomic structure:
```
Er2CuPt4
1.0
0.0000 4.2422 5.6955
2.8027 0.0000 5.6955
2.8027 4.2422 0.0000
Er Cu Pt
2 1 4
direct
0.1418 0.1418 0.8582
0.8582 0.8582 0.1418
0.5000 0.5000 0.5000
0.0000 0.0000 0.5000
0.2500 0.2500 0.2500
0.5000 0.5000 0.0000
0.7500 0.7500 0.7500
```

***

This entry pairs a crystal structure of ErCuPt with its calculated powder diffractogram. Radiation: CuKα. Structure: DFT lattice parameters and positions (GGA-PBE).
Neutral-atom scattering factors, no anomalous dispersion.

Principal peaks in the range 10° ≤ 2θ ≤ 80°, most intense first:
- 2θ = 35.0°, 2.564 Å, I 1000
- 2θ = 41.7°, 2.167 Å, I 569
- 2θ = 55.5°, 1.655 Å, I 269
- 2θ = 68.8°, 1.364 Å, I 256
- 2θ = 71.8°, 1.315 Å, I 251
- 2θ = 23.7°, 3.754 Å, I 166
- 2θ = 52.1°, 1.755 Å, I 99
- 2θ = 76.1°, 1.251 Å, I 96
- 2θ = 25.4°, 3.511 Å, I 35
- 2θ = 49.4°, 1.844 Å, I 34
- 2θ = 58.0°, 1.590 Å, I 32
- 2θ = 48.5°, 1.877 Å, I 26

Atomic structure:
```
ErCuPt
1.0
4.3343 0.0000 0.0000
-2.1672 3.7537 0.0000
0.0000 0.0000 3.5106
Er Cu Pt
1 1 1
direct
0.0000 0.0000 0.0000
0.3333 0.6667 0.5000
0.6667 0.3333 0.5000
```

***

This entry pairs a crystal structure of Er4PuCu5 with its calculated powder diffractogram. Radiation: CuKα. Structure: DFT lattice parameters and positions (GGA-PBE).
Neutral-atom scattering factors, no anomalous dispersion.

Principal peaks in the range 10° ≤ 2θ ≤ 80°, most intense first:
- 2θ = 36.8°, 2.445 Å, I 1000
- 2θ = 37.4°, 2.407 Å, I 482
- 2θ = 67.0°, 1.397 Å, I 339
- 2θ = 26.2°, 3.405 Å, I 233
- 2θ = 65.8°, 1.419 Å, I 175
- 2θ = 53.9°, 1.702 Å, I 167
- 2θ = 25.3°, 3.514 Å, I 128
- 2θ = 45.7°, 1.986 Å, I 111
- 2θ = 78.2°, 1.223 Å, I 106
- 2θ = 52.1°, 1.757 Å, I 90
- 2θ = 59.2°, 1.561 Å, I 56
- 2θ = 79.7°, 1.204 Å, I 52

Atomic structure:
```
Er4PuCu5
1.0
3.4046 0.0000 0.0000
0.0000 3.4046 0.0000
0.0000 0.0000 17.5677
Er Pu Cu
4 1 5
direct
0.0000 0.0000 0.0992
0.0000 0.0000 0.2982
0.0000 0.0000 0.7018
0.0000 0.0000 0.9008
0.0000 0.0000 0.5000
0.5000 0.5000 0.0000
0.5000 0.5000 0.1983
0.5000 0.5000 0.3923
0.5000 0.5000 0.6077
0.5000 0.5000 0.8017
```